# 1
Diffraction record for MgAl2ZnCu4. The XRD peak list is calculated, not measured: it uses a cell relaxed with PBE and CuKα.
Peak positions follow from Bragg's law for the DFT cell and can differ from measured ones.

Structural model:
Cell lengths 7.380, 7.380, 7.380 Å; angles 132.28, 132.28, 69.78 degrees
Positions (direct):
Mg  0.375  0.625  0.750
Mg  0.625  0.375  0.250
Al  0.130  0.380  0.750
Al  0.380  0.130  0.250
Al  0.620  0.870  0.750
Al  0.870  0.620  0.250
Zn  0.125  0.875  0.250
Zn  0.875  0.125  0.750
Cu  0.000  0.237  0.237
Cu  0.000  0.763  0.763
Cu  0.237  0.000  0.737
Cu  0.237  0.500  0.237
Cu  0.500  0.237  0.737
Cu  0.500  0.763  0.263
Cu  0.763  0.000  0.263
Cu  0.763  0.500  0.763

Most intense lines, 5 to 70 degrees two-theta, low angle first:
2θ/deg, Rel. int.
16.56, 10
29.93, 11
42.54, 100
42.85, 49
61.25, 8
62.20, 15

=====

# 2
Diffraction record for MgAl2ZnCu4. The XRD peak list is calculated, not measured: it uses a cell relaxed with PBE and CuKα.
Peak positions follow from Bragg's law for the DFT cell and can differ from measured ones.

Structural model:
Cell lengths 7.375, 7.375, 7.375 Å; angles 132.27, 132.27, 69.80 degrees
Positions (direct):
Mg  0.375  0.625  0.750
Mg  0.625  0.375  0.250
Al  0.130  0.380  0.750
Al  0.380  0.130  0.250
Al  0.620  0.870  0.750
Al  0.870  0.620  0.250
Zn  0.125  0.875  0.250
Zn  0.875  0.125  0.750
Cu  0.000  0.238  0.238
Cu  0.000  0.762  0.762
Cu  0.238  0.000  0.738
Cu  0.238  0.500  0.238
Cu  0.500  0.238  0.738
Cu  0.500  0.762  0.262
Cu  0.762  0.000  0.262
Cu  0.762  0.500  0.762

Most intense lines, 5 to 70 degrees two-theta, low angle first:
2θ/deg, Rel. int.
16.56, 10
29.95, 11
42.56, 100
42.86, 49
61.30, 8
62.23, 15

=====

# 3
Diffraction record for AlCuW4N2. The XRD peak list is calculated, not measured: it uses a cell relaxed with PBE and CuKα.
Peak positions follow from Bragg's law for the DFT cell and can differ from measured ones.

Structural model:
Cell lengths 2.822, 2.822, 14.759 Å; angles 90.00, 90.00, 120.00 degrees
Positions (direct):
Al  0.000  0.000  0.000
Cu  0.667  0.333  0.500
W  0.000  0.000  0.351
W  0.000  0.000  0.649
W  0.667  0.333  0.153
W  0.667  0.333  0.847
N  0.333  0.667  0.251
N  0.333  0.667  0.749

Most intense lines, 5 to 70 degrees two-theta, low angle first:
2θ/deg, Rel. int.
24.12, 28
36.53, 23
36.77, 22
37.29, 22
41.24, 100
57.75, 20